(1)
Diffraction record for SrCrInWO6. The X-ray powder pattern is theoretical, not measured: it uses a crystal structure in the Materials Project, relaxed with GGA+U and a wavelength of 1.5418 Å.
Lines closer than 0.1° are merged.

Main lines, sorted by position (10 to 80 degrees two-theta):
2θ (°)  I_rel  index
19.19  234  1 1 1
31.59  1000  2 2 0
37.22  130  3 1 1
45.28  313  4 0 0
49.60  57  3 3 1
56.25  390  4 2 2
65.96  188  4 4 0
74.98  168  6 2 0

Crystal structure
```
data_SrCrInWO6
_symmetry_space_group_name_H-M 'F -4 3 m'
_symmetry_Int_Tables_number 216
_symmetry_space_group_name_Hall 'F -4 2 3'
_cell_length_a 8.011
_cell_length_b 8.011
_cell_length_c 8.011
_cell_angle_alpha 90.00
_cell_angle_beta 90.00
_cell_angle_gamma 90.00
loop_
_atom_site_label
_atom_site_fract_x
_atom_site_fract_y
_atom_site_fract_z
Sr1 0.000 0.000 0.000
Cr1 0.250 0.250 0.750
In1 0.000 0.000 0.500
W1 0.250 0.250 0.250
O1 0.005 0.250 0.250
```

---

(2)
Diffraction record for LiFe2F9. The X-ray powder pattern is theoretical, not measured: it uses a crystal structure in the Materials Project, relaxed with GGA+U and a wavelength of 1.5418 Å.
Lines closer than 0.1° are merged.

Main lines, sorted by position (10 to 80 degrees two-theta):
2θ (°)  I_rel  index
18.74  625  0 1 -2
18.91  626  1 0 -1
20.48  645  0 0 2
22.08  360  1 1 -1
22.70  831  1 0 1
24.01  1000  0 2 0
26.47  453  1 -2 1
39.42  444  1 1 -4

Crystal structure
```
data_LiFe2F9
_symmetry_space_group_name_H-M 'P -1'
_symmetry_Int_Tables_number 2
_cell_length_a 5.036
_cell_length_b 8.284
_cell_length_c 9.697
_cell_angle_alpha 113.86
_cell_angle_beta 97.75
_cell_angle_gamma 97.69
loop_
_symmetry_equiv_pos_as_xyz
'x,y,z'
'-x,-y,-z'
loop_
_atom_site_label
_atom_site_fract_x
_atom_site_fract_y
_atom_site_fract_z
Li1 0.118 0.410 0.169
Fe1 0.254 0.237 0.785
Fe2 0.341 0.763 0.666
F1 0.003 0.685 0.557
F2 0.050 0.906 0.341
F3 0.145 0.429 0.770
F4 0.159 0.264 0.968
F5 0.221 0.785 0.837
F6 0.391 0.340 0.285
F7 0.399 0.638 0.149
F8 0.408 0.030 0.748
F9 0.470 0.757 0.504
```

---

(3)
Diffraction record for TiCoO3. The X-ray powder pattern is theoretical, not measured: it uses a crystal structure in the Materials Project, relaxed with GGA+U and a wavelength of 1.5418 Å.
Lines closer than 0.1° are merged.

Main lines, sorted by position (10 to 80 degrees two-theta):
2θ (°)  I_rel  index
23.78  284  1 0 0
32.57  1000  0 1 1
35.14  701  1 1 -1
40.23  240  1 -2 1
48.66  385  2 0 0
53.08  485  2 -1 1
61.43  327  2 1 -3
63.06  324  3 0 -2

Crystal structure
```
data_TiCoO3
_symmetry_space_group_name_H-M 'P -1'
_symmetry_Int_Tables_number 2
_cell_length_a 5.104
_cell_length_b 5.108
_cell_length_c 5.529
_cell_angle_alpha 90.07
_cell_angle_beta 117.43
_cell_angle_gamma 119.97
loop_
_symmetry_equiv_pos_as_xyz
'x,y,z'
'-x,-y,-z'
loop_
_atom_site_label
_atom_site_fract_x
_atom_site_fract_y
_atom_site_fract_z
Ti1 0.211 0.356 0.067
Co1 0.210 0.855 0.565
O1 0.012 0.062 0.239
O2 0.289 0.727 0.238
O3 0.324 0.551 0.762
```

---

(4)
Diffraction record for Li6Cr3P6WO24. The X-ray powder pattern is theoretical, not measured: it uses a crystal structure in the Materials Project, relaxed with GGA+U and a wavelength of 1.5418 Å.
Lines closer than 0.1° are merged.

Main lines, sorted by position (10 to 80 degrees two-theta):
2θ (°)  I_rel  index
12.29  349  1 0 0
14.33  488  0 1 1
20.03  648  0 1 -1
20.62  984  1 2 1
23.82  1000  1 2 0
28.90  489  0 2 2
32.75  395  1 3 2
35.06  406  -2 1 1

Crystal structure
```
data_Li6Cr3P6WO24
_symmetry_space_group_name_H-M 'P 1'
_symmetry_Int_Tables_number 1
_cell_length_a 8.601
_cell_length_b 8.629
_cell_length_c 8.637
_cell_angle_alpha 61.90
_cell_angle_beta 61.88
_cell_angle_gamma 61.87
loop_
_symmetry_equiv_pos_as_xyz
'x,y,z'
loop_
_atom_site_label
_atom_site_fract_x
_atom_site_fract_y
_atom_site_fract_z
Li1 0.000 0.000 0.000
Li2 0.086 0.505 0.926
Li3 0.278 0.862 0.652
Li4 0.525 0.693 0.299
Li5 0.716 0.358 0.146
Li6 0.897 0.132 0.483
Cr1 0.390 0.001 0.790
Cr2 0.608 0.214 0.004
Cr3 0.895 0.503 0.298
P1 0.001 0.301 0.700
P2 0.204 0.113 0.182
P3 0.303 0.607 0.093
P4 0.508 0.390 0.608
P5 0.692 0.910 0.402
P6 0.786 0.815 0.910
W1 0.106 0.710 0.505
O1 0.019 0.283 0.200
O2 0.060 0.454 0.678
O3 0.135 0.555 0.132
O4 0.156 0.109 0.721
O5 0.171 0.964 0.378
O6 0.216 0.058 0.030
O7 0.283 0.662 0.249
O8 0.300 0.778 0.912
O9 0.359 0.588 0.573
O10 0.376 0.152 0.141
O11 0.449 0.235 0.638
O12 0.490 0.449 0.069
O13 0.505 0.928 0.560
O14 0.560 0.360 0.767
O15 0.620 0.859 0.860
O16 0.674 0.405 0.417
O17 0.689 0.091 0.232
O18 0.729 0.743 0.350
O19 0.777 0.972 0.955
O20 0.796 0.628 0.077
O21 0.845 0.276 0.892
O22 0.848 0.885 0.460
O23 0.947 0.337 0.536
O24 0.980 0.773 0.759
```

---

(5)
Diffraction record for Li10Ti2Mn3Ni3O16. The X-ray powder pattern is theoretical, not measured: it uses a crystal structure in the Materials Project, relaxed with GGA+U and a wavelength of 1.5418 Å.
Lines closer than 0.1° are merged.

Main lines, sorted by position (10 to 80 degrees two-theta):
2θ (°)  I_rel  index
18.00  1000  0 0 2
19.13  513  1 0 -1
19.40  577  -1 1 1
19.55  509  1 -1 1
35.59  385  2 0 -1
35.91  359  -2 2 1
43.93  642  0 2 -3
44.88  624  2 -2 3

Crystal structure
```
data_Li10Ti2Mn3Ni3O16
_symmetry_space_group_name_H-M 'P 1'
_symmetry_Int_Tables_number 1
_cell_length_a 5.951
_cell_length_b 5.979
_cell_length_c 9.861
_cell_angle_alpha 90.36
_cell_angle_beta 91.23
_cell_angle_gamma 119.47
loop_
_symmetry_equiv_pos_as_xyz
'x,y,z'
loop_
_atom_site_label
_atom_site_fract_x
_atom_site_fract_y
_atom_site_fract_z
Li1 0.000 0.000 0.000
Li2 0.005 0.407 0.994
Li3 0.133 0.262 0.776
Li4 0.208 0.796 0.495
Li5 0.420 0.401 0.989
Li6 0.463 0.929 0.277
Li7 0.612 0.211 0.487
Li8 0.625 0.799 0.485
Li9 0.810 0.601 0.059
Li10 0.815 0.597 0.558
Ti1 0.131 0.250 0.512
Ti2 0.453 0.918 0.016
Mn1 0.464 0.425 0.257
Mn2 0.630 0.252 0.757
Mn3 0.637 0.763 0.758
Ni1 0.144 0.765 0.757
Ni2 0.973 0.428 0.259
Ni3 0.973 0.935 0.258
O1 0.002 0.435 0.621
O2 0.150 0.273 0.143
O3 0.153 0.772 0.128
O4 0.292 0.099 0.387
O5 0.299 0.078 0.890
O6 0.306 0.575 0.384
O7 0.311 0.618 0.892
O8 0.476 0.410 0.628
O9 0.481 0.946 0.639
O10 0.625 0.263 0.130
O11 0.643 0.784 0.119
O12 0.783 0.101 0.886
O13 0.788 0.590 0.364
O14 0.798 0.572 0.865
O15 0.828 0.110 0.386
O16 0.987 0.945 0.620
```

---

(6)
Diffraction record for NbFe3Ni2P6O24. The X-ray powder pattern is theoretical, not measured: it uses a crystal structure in the Materials Project, relaxed with GGA+U and a wavelength of 1.5418 Å.
Lines closer than 0.1° are merged.

Main lines, sorted by position (10 to 80 degrees two-theta):
2θ (°)  I_rel  index
20.53  1000  1 1 0
24.27  854  1 1 3
33.19  739  2 -1 6
35.95  425  3 0 0
47.57  309  3 -2 8
49.73  283  2 2 6
56.25  251  1 4 0
62.88  220  5 -1 6

Crystal structure
```
data_NbFe3Ni2P6O24
_symmetry_space_group_name_H-M 'R 3'
_symmetry_Int_Tables_number 146
_symmetry_space_group_name_Hall 'R 3'
_cell_length_a 8.6542
_cell_length_b 8.6542
_cell_length_c 20.7172
_cell_angle_alpha 90.00
_cell_angle_beta 90.00
_cell_angle_gamma 120.00
loop_
_atom_site_label
_atom_site_fract_x
_atom_site_fract_y
_atom_site_fract_z
Nb1 0.0000 0.0000 0.0000
Fe1 0.0000 0.0000 0.2892
Fe2 0.0000 0.0000 0.4989
Fe3 0.0000 0.0000 0.7866
Ni1 0.0000 0.0000 0.1487
Ni2 0.0000 0.0000 0.6436
P1 0.9995 0.3005 0.8902
P2 0.0061 0.7097 0.3930
O1 0.0062 0.8060 0.4542
O2 0.0110 0.1966 0.9513
O3 0.0130 0.8312 0.0670
O4 0.0173 0.1828 0.5694
O5 0.1398 0.4652 0.4981
O6 0.1406 0.6754 0.9986
O7 0.1673 0.4869 0.8848
O8 0.1687 0.6828 0.3842
```

---

(7)
Diffraction record for V2Hg2O7. The X-ray powder pattern is theoretical, not measured: it uses a crystal structure in the Materials Project, relaxed with GGA+U and a wavelength of 1.5418 Å.
Lines closer than 0.1° are merged.

Main lines, sorted by position (10 to 80 degrees two-theta):
2θ (°)  I_rel  index
27.05  759  0 1 3
29.39  1000  2 0 4
31.69  749  0 1 5
32.73  315  0 0 8
34.77  708  2 1 1
45.38  386  2 1 7
51.46  402  2 1 9
58.47  336  2 2 4

Crystal structure
```
data_V2Hg2O7
_symmetry_space_group_name_H-M 'P n m a'
_symmetry_Int_Tables_number 62
_cell_length_a 7.309
_cell_length_b 3.694
_cell_length_c 21.889
_cell_angle_alpha 90.00
_cell_angle_beta 90.00
_cell_angle_gamma 90.00
loop_
_symmetry_equiv_pos_as_xyz
'x,y,z'
'-x,-y,-z'
'-x+1/2,-y,z+1/2'
'x+1/2,y,-z+1/2'
'x+1/2,-y+1/2,-z+1/2'
'-x+1/2,y+1/2,z+1/2'
'-x,y+1/2,-z'
'x,-y+1/2,z'
loop_
_atom_site_label
_atom_site_fract_x
_atom_site_fract_y
_atom_site_fract_z
V1 0.023 0.250 0.119
V2 0.197 0.750 0.020
Hg1 0.034 0.250 0.371
Hg2 0.228 0.250 0.746
O1 0.029 0.750 0.300
O2 0.030 0.750 0.096
O3 0.100 0.250 0.553
O4 0.121 0.250 0.028
O5 0.136 0.750 0.824
O6 0.226 0.250 0.160
O7 0.237 0.750 0.941
```

---

(8)
Diffraction record for K4P4H6WO14. The X-ray powder pattern is theoretical, not measured: it uses a crystal structure in the Materials Project, relaxed with GGA+U and a wavelength of 1.5418 Å.
Lines closer than 0.1° are merged.

Main lines, sorted by position (10 to 80 degrees two-theta):
2θ (°)  I_rel  index
13.43  1000  1 1 -1
16.85  539  1 1 1
18.45  517  3 1 -1
24.03  735  2 0 -4
25.43  490  0 2 1
25.87  534  5 1 -2
26.94  653  2 2 0
31.26  627  3 1 2

Crystal structure
```
data_K4P4H6WO14
_symmetry_space_group_name_H-M 'C 1 2/c 1'
_symmetry_Int_Tables_number 15
_cell_length_a 19.685
_cell_length_b 7.317
_cell_length_c 15.394
_cell_angle_alpha 90.00
_cell_angle_beta 127.90
_cell_angle_gamma 90.00
loop_
_symmetry_equiv_pos_as_xyz
'x,y,z'
'-x,-y,-z'
'-x,y,-z+1/2'
'x,-y,z+1/2'
'x+1/2,y+1/2,z'
'-x+1/2,-y+1/2,-z'
'-x+1/2,y+1/2,-z+1/2'
'x+1/2,-y+1/2,z+1/2'
loop_
_atom_site_label
_atom_site_fract_x
_atom_site_fract_y
_atom_site_fract_z
K1 0.010 0.244 0.046
K2 0.232 0.452 0.399
P1 0.141 0.052 0.793
P2 0.173 0.496 0.090
H1 0.075 0.493 0.770
H2 0.098 0.291 0.682
H3 0.148 0.267 0.971
W1 0.000 0.336 0.250
O1 0.080 0.162 0.680
O2 0.101 0.136 0.270
O3 0.122 0.475 0.632
O4 0.143 0.298 0.032
O5 0.165 0.155 0.893
O6 0.170 0.359 0.518
O7 0.227 0.033 0.800
```